Theoretical X-ray powder pattern of Tb2Ge2O7 for CuKα, from a crystal structure in OQMD, relaxed with PBE.

Cell and atoms:
Unit cell a=6.810 b=6.810 c=12.422 alpha=90.00 beta=90.00 gamma=90.00
Space group P4_12_12 (No. 92)
Asymmetric unit:
Tb (0.126, 0.353, 0.115)
Ge (0.102, 0.153, 0.630)
O (0.032, 0.076, 0.874)
O (0.063, 0.662, 0.179)
O (0.144, 0.317, 0.294)
O (0.201, 0.201, 0.500)

Most intense lines, 2θ from 10° to 80°, low angle first:
- (1 0 1), 5.972 Å, 2θ = 14.83°, I = 40
- (2 0 1), 3.284 Å, 2θ = 27.15°, I = 80
- (0 0 4), 3.105 Å, 2θ = 28.75°, I = 77
- (2 1 0), 3.046 Å, 2θ = 29.32°, I = 25
- (2 1 1), 2.958 Å, 2θ = 30.21°, I = 47
- (2 1 2), 2.735 Å, 2θ = 32.75°, I = 100
- (2 0 3), 2.630 Å, 2θ = 34.09°, I = 41
- (3 2 1), 1.867 Å, 2θ = 48.77°, I = 39
- (2 1 6), 1.712 Å, 2θ = 53.52°, I = 34
- (4 0 4), 1.493 Å, 2θ = 62.18°, I = 26

Theoretical X-ray powder pattern of Rb2AgBiCl6 for CuKα, from a crystal structure in OQMD, relaxed with PBE.

Cell and atoms:
Unit cell a=10.794 b=10.794 c=10.794 alpha=90.00 beta=90.00 gamma=90.00
Space group Fm-3m (No. 225)
Asymmetric unit:
Rb (0.250, 0.250, 0.250)
Ag (0.000, 0.000, 0.000)
Bi (0.000, 0.000, 0.500)
Cl (0.000, 0.000, 0.249)

Most intense lines, 2θ from 10° to 80°, low angle first:
- (2 0 0), 5.397 Å, 2θ = 16.43°, I = 32
- (2 2 0), 3.816 Å, 2θ = 23.31°, I = 100
- (4 0 0), 2.698 Å, 2θ = 33.20°, I = 59
- (4 2 0), 2.414 Å, 2θ = 37.26°, I = 16
- (4 2 2), 2.203 Å, 2θ = 40.96°, I = 47
- (4 4 0), 1.908 Å, 2θ = 47.66°, I = 41
- (6 2 0), 1.707 Å, 2θ = 53.71°, I = 22
- (4 4 4), 1.558 Å, 2θ = 59.32°, I = 14
- (6 4 2), 1.442 Å, 2θ = 64.62°, I = 25
- (8 4 0), 1.207 Å, 2θ = 79.41°, I = 18